1.
For Tc4Ge, DFT lattice parameters and positions (PBE) gives the theoretical powder diffractogram in this record (copper Kα).
Intensities are scaled so that the largest is 100.

Unit cell a=4.462 b=4.462 c=4.462 alpha=90.00 beta=90.00 gamma=90.00
Fractional positions:
Tc 0.000 0.000 0.000
Tc 0.000 0.500 0.500
Tc 0.500 0.000 0.500
Tc 0.500 0.500 0.000
Ge 0.500 0.500 0.500

Top 12 peaks for 15° ≤ 2θ ≤ 90°, by angle:
two_theta, I/Imax
19.9, 16
28.3, 13
34.8, 95
40.4, 100
45.4, 7
50.1, 5
58.5, 66
62.4, 3
69.9, 35
73.5, 22
80.5, 3
87.4, 11

---

2.
For Tc2Ge3, DFT lattice parameters and positions (PBE) gives the theoretical powder diffractogram in this record (copper Kα).
Intensities are scaled so that the largest is 100.

Unit cell a=6.130 b=6.130 c=6.214 alpha=113.24 beta=113.24 gamma=96.48
Fractional positions:
Tc 0.000 0.500 0.500
Tc 0.162 0.838 0.000
Tc 0.500 0.000 0.500
Tc 0.838 0.162 0.000
Ge 0.101 0.101 0.408
Ge 0.228 0.538 0.215
Ge 0.462 0.772 0.785
Ge 0.538 0.228 0.215
Ge 0.772 0.462 0.785
Ge 0.899 0.899 0.592

Top 12 peaks for 15° ≤ 2θ ≤ 90°, by angle:
two_theta, I/Imax
17.5, 56
19.4, 77
29.4, 48
31.3, 39
32.9, 100
35.0, 76
40.8, 59
42.2, 82
43.5, 69
44.0, 82
45.5, 94
49.0, 52

---

3.
For Tc3Ge, DFT lattice parameters and positions (PBE) gives the theoretical powder diffractogram in this record (copper Kα).
Intensities are scaled so that the largest is 100.

Unit cell a=3.048 b=4.337 c=8.715 alpha=90.00 beta=90.00 gamma=90.00
Fractional positions:
Tc 0.000 0.000 0.000
Tc 0.000 0.500 0.237
Tc 0.000 0.500 0.763
Tc 0.500 0.000 0.263
Tc 0.500 0.000 0.737
Tc 0.500 0.500 0.500
Ge 0.000 0.000 0.500
Ge 0.500 0.500 0.000

Top 12 peaks for 15° ≤ 2θ ≤ 90°, by angle:
two_theta, I/Imax
31.1, 1
37.3, 2
41.4, 20
41.7, 100
60.2, 13
60.8, 6
61.3, 1
75.8, 12
76.1, 13
76.2, 6
76.4, 7
76.8, 1

---

4.
For Tc2Ge3, DFT lattice parameters and positions (PBE) gives the theoretical powder diffractogram in this record (copper Kα).
Intensities are scaled so that the largest is 100.

Unit cell a=5.118 b=5.118 c=6.939 alpha=90.00 beta=90.00 gamma=115.09
Fractional positions:
Tc 0.131 0.369 0.250
Tc 0.369 0.131 0.750
Tc 0.631 0.869 0.250
Tc 0.869 0.631 0.750
Ge 0.000 0.000 0.000
Ge 0.147 0.853 0.408
Ge 0.353 0.647 0.908
Ge 0.500 0.500 0.500
Ge 0.647 0.353 0.092
Ge 0.853 0.147 0.592

Top 12 peaks for 15° ≤ 2θ ≤ 90°, by angle:
two_theta, I/Imax
24.3, 39
32.2, 31
37.6, 61
41.1, 100
41.8, 19
42.0, 68
44.4, 60
49.7, 18
61.5, 14
75.9, 13
78.9, 24
85.2, 18

---

5.
For Th3Tc2Ge3, DFT lattice parameters and positions (PBE) gives the theoretical powder diffractogram in this record (copper Kα).
Intensities are scaled so that the largest is 100.

Unit cell a=5.849 b=5.849 c=15.209 alpha=90.00 beta=90.00 gamma=136.97
Fractional positions:
Th 0.079 0.921 0.608
Th 0.079 0.921 0.892
Th 0.353 0.647 0.750
Th 0.647 0.353 0.250
Th 0.921 0.079 0.108
Th 0.921 0.079 0.392
Tc 0.201 0.799 0.114
Tc 0.201 0.799 0.386
Tc 0.799 0.201 0.614
Tc 0.799 0.201 0.886
Ge 0.355 0.645 0.250
Ge 0.362 0.638 0.534
Ge 0.362 0.638 0.966
Ge 0.638 0.362 0.034
Ge 0.638 0.362 0.466
Ge 0.645 0.355 0.750

Top 12 peaks for 15° ≤ 2θ ≤ 90°, by angle:
two_theta, I/Imax
24.0, 20
32.5, 100
32.9, 55
33.5, 23
37.0, 40
37.5, 17
40.3, 30
42.1, 34
53.6, 17
56.2, 24
63.7, 18
65.7, 20

---

6.
For ThTcGe3, DFT lattice parameters and positions (PBE) gives the theoretical powder diffractogram in this record (copper Kα).
Intensities are scaled so that the largest is 100.

Unit cell a=6.255 b=5.752 c=5.838 alpha=90.00 beta=90.00 gamma=90.00
Fractional positions:
Th 0.000 0.153 0.000
Th 0.500 0.847 0.500
Tc 0.000 0.613 0.264
Tc 0.500 0.387 0.764
Ge 0.000 0.917 0.542
Ge 0.231 0.326 0.466
Ge 0.269 0.674 0.966
Ge 0.500 0.083 0.042
Ge 0.731 0.674 0.966
Ge 0.769 0.326 0.466

Top 12 peaks for 15° ≤ 2θ ≤ 90°, by angle:
two_theta, I/Imax
20.8, 34
26.0, 27
28.5, 22
30.6, 32
34.3, 23
34.5, 19
34.8, 66
36.1, 100
37.4, 37
45.3, 42
58.1, 17
65.4, 22